Structure and computed powder XRD pattern of Li3V2C4O12 (the PBE+U geometry in the Materials Project; Cu Kα (λ = 1.5418 Å)).

Main lines, by angle (10 to 90 degrees two-theta):
- d 6.111, intensity 41
- d 4.950, intensity 100
- d 3.080, intensity 63
- d 3.056, intensity 37
- d 2.955, intensity 23
- d 2.900, intensity 54
- d 2.810, intensity 20
- d 2.038, intensity 20

Crystal structure
```
data_Li3V2C4O12
_cell_length_a 6.363
_cell_length_b 6.363
_cell_length_c 12.341
_cell_angle_alpha 103.83
_cell_angle_beta 103.83
_cell_angle_gamma 91.06
_symmetry_space_group_name_H-M 'P 1'
_symmetry_Int_Tables_number 1
loop_
_symmetry_equiv_pos_as_xyz
'x,y,z'
loop_
_atom_site_label
_atom_site_fract_x
_atom_site_fract_y
_atom_site_fract_z
Li1 0.000 0.000 0.000
Li2 0.172 0.711 0.349
Li3 0.289 0.828 0.651
Li4 0.501 0.499 0.500
Li5 0.671 0.210 0.848
Li6 0.790 0.329 0.152
V1 0.378 0.122 0.250
V2 0.488 0.512 0.000
V3 0.878 0.622 0.750
V4 0.987 0.013 0.500
C1 0.394 0.561 0.760
C2 0.439 0.606 0.240
C3 0.452 0.012 0.010
C4 0.488 0.048 0.489
C5 0.894 0.061 0.259
C6 0.939 0.106 0.741
C7 0.952 0.512 0.511
C8 0.988 0.548 0.990
O1 0.023 0.110 0.200
O2 0.032 0.326 0.492
O3 0.035 0.666 0.474
O4 0.067 0.044 0.671
O5 0.174 0.469 0.007
O6 0.211 0.642 0.748
O7 0.303 0.054 0.065
O8 0.334 0.965 0.526
O9 0.358 0.789 0.252
O10 0.389 0.477 0.299
O11 0.447 0.196 0.435
O12 0.456 0.433 0.829
O13 0.523 0.611 0.701
O14 0.531 0.826 0.993
O15 0.535 0.165 0.974
O16 0.567 0.544 0.171
O17 0.674 0.968 0.508
O18 0.711 0.142 0.248
O19 0.804 0.553 0.565
O20 0.835 0.465 0.026
O21 0.858 0.289 0.752
O22 0.890 0.977 0.800
O23 0.946 0.697 0.935
O24 0.956 0.933 0.329
```

***

Structure and computed powder XRD pattern of LiVC2O6 (the PBE+U geometry in the Materials Project; Cu Kα (λ = 1.5418 Å)).

Main lines, by angle (10 to 90 degrees two-theta):
- d 7.077, intensity 98
- d 5.417, intensity 40
- d 3.983, intensity 27
- d 3.950, intensity 28
- d 3.576, intensity 32
- d 2.957, intensity 62
- d 2.840, intensity 100
- d 1.837, intensity 20

Crystal structure
```
data_LiVC2O6
_cell_length_a 6.205
_cell_length_b 4.761
_cell_length_c 7.427
_cell_angle_alpha 90.00
_cell_angle_beta 107.64
_cell_angle_gamma 90.00
_symmetry_space_group_name_H-M 'P 1'
_symmetry_Int_Tables_number 1
loop_
_symmetry_equiv_pos_as_xyz
'x,y,z'
loop_
_atom_site_label
_atom_site_fract_x
_atom_site_fract_y
_atom_site_fract_z
Li1 0.182 0.000 0.070
Li2 0.818 0.500 0.930
V1 0.239 0.023 0.616
V2 0.761 0.523 0.384
C1 0.240 0.504 0.863
C2 0.248 0.569 0.385
C3 0.752 0.069 0.615
C4 0.760 0.004 0.137
O1 0.105 0.394 0.427
O2 0.138 0.610 0.970
O3 0.195 0.834 0.364
O4 0.257 0.223 0.855
O5 0.335 0.648 0.761
O6 0.428 0.475 0.363
O7 0.572 0.975 0.637
O8 0.665 0.148 0.239
O9 0.743 0.723 0.145
O10 0.805 0.334 0.636
O11 0.862 0.110 0.030
O12 0.895 0.894 0.573
```